(1)
For HoH6Pd8, a DFT-relaxed cell (GGA-PBE, Alexandria) gives the theoretical X-ray diffraction stick pattern in this record (Cu Kα X-rays).
Intensities are scaled so that the largest is 100.

Most intense lines, 2θ = 10–90°, in order of rising 2θ:
d [Å]	I (rel.)	(hkl)
2.422	100	1 1 3
2.394	32	0 0 9
2.091	66	2 -1 6
1.486	22	3 0 0
1.472	21	1 1 12
1.266	13	4 -2 3
1.262	25	3 0 9
1.254	12	2 -1 15
1.211	11	2 2 6
1.197	3	0 0 18

Crystal structure
```
data_HoH6Pd8
_symmetry_space_group_name_H-M 'R -3'
_symmetry_Int_Tables_number 148
_symmetry_space_group_name_Hall '-R 3'
_cell_length_a 5.1460
_cell_length_b 5.1460
_cell_length_c 21.5428
_cell_angle_alpha 90.00
_cell_angle_beta 90.00
_cell_angle_gamma 120.00
loop_
_atom_site_label
_atom_site_fract_x
_atom_site_fract_y
_atom_site_fract_z
_atom_site_occupancy
Ho1 0.0000 0.0000 0.0000 1
H1 0.0042 0.3426 0.0809 1
Pd1 0.0000 0.0000 0.3346 1
Pd2 0.0014 0.6699 0.7783 1
```



(2)
For LaZn5Au2, a DFT-relaxed cell (GGA-PBE, Alexandria) gives the theoretical X-ray diffraction stick pattern in this record (Cu Kα X-rays).
Intensities are scaled so that the largest is 100.

Most intense lines, 2θ = 10–90°, in order of rising 2θ:
d [Å]	I (rel.)	(hkl)
3.710	38	0 2 0
2.930	100	1 1 2
2.655	40	1 2 1
2.608	43	1 0 3
2.118	37	1 3 0
2.093	61	0 2 4
2.071	37	1 1 4
2.051	36	2 0 0
1.955	42	1 3 2
1.465	38	2 2 4

Crystal structure
```
data_LaZn5Au2
_symmetry_space_group_name_H-M 'I m m m'
_symmetry_Int_Tables_number 71
_symmetry_space_group_name_Hall '-I 2 2'
_cell_length_a 4.1015
_cell_length_b 7.4208
_cell_length_c 10.1385
_cell_angle_alpha 90.00
_cell_angle_beta 90.00
_cell_angle_gamma 90.00
loop_
_atom_site_label
_atom_site_fract_x
_atom_site_fract_y
_atom_site_fract_z
_atom_site_occupancy
La1 0.0000 0.0000 0.0000 1
Zn1 0.0000 0.1842 0.3659 1
Zn2 0.0000 0.5000 0.0000 1
Au1 0.0000 0.5000 0.2557 1
```



(3)
For H6W, a DFT-relaxed cell (GGA-PBE, Alexandria) gives the theoretical X-ray diffraction stick pattern in this record (Cu Kα X-rays).
Intensities are scaled so that the largest is 100.

Most intense lines, 2θ = 10–90°, in order of rising 2θ:
d [Å]	I (rel.)	(hkl)
7.222	100	0 0 1
3.611	19	0 0 2
2.880	8	1 1 0
2.866	9	4 0 -1
2.808	19	4 0 -2
2.419	14	4 0 -3
2.371	10	3 1 -1
2.257	7	3 1 -2
2.248	9	3 1 0
1.989	9	4 0 -4

Crystal structure
```
data_H6W
_symmetry_space_group_name_H-M 'C 1 2/m 1'
_symmetry_Int_Tables_number 12
_cell_length_a 11.5833
_cell_length_b 3.0035
_cell_length_c 8.2287
_cell_angle_alpha 90.00
_cell_angle_beta 118.64
_cell_angle_gamma 90.00
loop_
_symmetry_equiv_pos_as_xyz
'x,y,z'
'-x,-y,-z'
'-x,y,-z'
'x,-y,z'
'x+1/2,y+1/2,z'
'-x+1/2,-y+1/2,-z'
'-x+1/2,y+1/2,-z'
'x+1/2,-y+1/2,z'
loop_
_atom_site_label
_atom_site_fract_x
_atom_site_fract_y
_atom_site_fract_z
_atom_site_occupancy
H1 0.0369 0.0000 0.0228 1
H2 0.0441 0.0000 0.6359 1
H3 0.0442 0.5000 0.3834 1
H4 0.1756 0.5000 0.6591 1
H5 0.1767 0.5000 0.3700 1
H6 0.2221 0.0000 0.7452 1
W1 0.1437 0.0000 0.5123 1
```



(4)
For Y3CoPb, a DFT-relaxed cell (GGA-PBE, Alexandria) gives the theoretical X-ray diffraction stick pattern in this record (Cu Kα X-rays).
Intensities are scaled so that the largest is 100.

Most intense lines, 2θ = 10–90°, in order of rising 2θ:
d [Å]	I (rel.)	(hkl)
3.683	27	1 1 0
3.621	32	1 0 4
3.119	16	1 1 3
2.999	85	2 0 2
2.932	32	0 0 6
2.582	100	0 2 4
2.114	18	2 1 4
1.842	28	2 2 0
1.811	34	2 0 8
1.560	17	2 2 6

Crystal structure
```
data_Y3CoPb
_symmetry_space_group_name_H-M 'R -3 c'
_symmetry_Int_Tables_number 167
_symmetry_space_group_name_Hall '-R 3 2"c'
_cell_length_a 7.3663
_cell_length_b 7.3663
_cell_length_c 17.5949
_cell_angle_alpha 90.00
_cell_angle_beta 90.00
_cell_angle_gamma 120.00
loop_
_atom_site_label
_atom_site_fract_x
_atom_site_fract_y
_atom_site_fract_z
_atom_site_occupancy
Y1 0.0000 0.4501 0.2500 1
Co1 0.0000 0.0000 0.0000 1
Pb1 0.0000 0.0000 0.2500 1
```



(5)
For Cs2RbGaSb2, a DFT-relaxed cell (GGA-PBE, Alexandria) gives the theoretical X-ray diffraction stick pattern in this record (Cu Kα X-rays).
Intensities are scaled so that the largest is 100.

Most intense lines, 2θ = 10–90°, in order of rising 2θ:
d [Å]	I (rel.)	(hkl)
8.152	21	0 2 0
7.800	27	1 1 0
3.770	23	0 0 2
3.325	100	1 4 1
3.129	21	2 3 1
3.003	22	2 4 0
2.913	19	3 1 0
2.874	54	2 0 2
2.768	25	0 4 2
2.080	27	1 4 3

Crystal structure
```
data_Cs2RbGaSb2
_symmetry_space_group_name_H-M 'I b a m'
_symmetry_Int_Tables_number 72
_symmetry_space_group_name_Hall '-I 2 2c'
_cell_length_a 8.8817
_cell_length_b 16.3049
_cell_length_c 7.5404
_cell_angle_alpha 90.00
_cell_angle_beta 90.00
_cell_angle_gamma 90.00
loop_
_atom_site_label
_atom_site_fract_x
_atom_site_fract_y
_atom_site_fract_z
_atom_site_occupancy
Cs1 0.2052 0.1721 0.0000 1
Rb1 0.0000 0.5000 0.2500 1
Ga1 0.0000 0.0000 0.2500 1
Sb1 0.1771 0.0837 0.5000 1
```



(6)
For In2CuPdC, a DFT-relaxed cell (GGA-PBE, Alexandria) gives the theoretical X-ray diffraction stick pattern in this record (Cu Kα X-rays).
Intensities are scaled so that the largest is 100.

Most intense lines, 2θ = 10–90°, in order of rising 2θ:
d [Å]	I (rel.)	(hkl)
4.863	70	1 0 0
4.710	39	0 0 1
2.777	100	1 1 1
2.431	76	2 0 0
2.355	35	0 0 2
2.160	21	2 0 1
1.719	25	2 2 0
1.692	48	2 0 2
1.462	27	3 1 1
1.389	24	2 2 2

Crystal structure
```
data_In2CuPdC
_symmetry_space_group_name_H-M 'P 4/m m m'
_symmetry_Int_Tables_number 123
_symmetry_space_group_name_Hall '-P 4 2'
_cell_length_a 4.8626
_cell_length_b 4.8626
_cell_length_c 4.7098
_cell_angle_alpha 90.00
_cell_angle_beta 90.00
_cell_angle_gamma 90.00
loop_
_atom_site_label
_atom_site_fract_x
_atom_site_fract_y
_atom_site_fract_z
_atom_site_occupancy
In1 0.0000 0.5000 0.0000 1
Cu1 0.0000 0.0000 0.0000 1
Pd1 0.0000 0.0000 0.5000 1
C1 0.5000 0.5000 0.5000 1
```



What did the second record say?
For LaZn5Au2, a DFT-relaxed cell (GGA-PBE, Alexandria) gives the theoretical X-ray diffraction stick pattern in this record (Cu Kα X-rays).
Intensities are scaled so that the largest is 100.

Most intense lines, 2θ = 10–90°, in order of rising 2θ:
d [Å]	I (rel.)	(hkl)
3.710	38	0 2 0
2.930	100	1 1 2
2.655	40	1 2 1
2.608	43	1 0 3
2.118	37	1 3 0
2.093	61	0 2 4
2.071	37	1 1 4
2.051	36	2 0 0
1.955	42	1 3 2
1.465	38	2 2 4

Crystal structure
```
data_LaZn5Au2
_symmetry_space_group_name_H-M 'I m m m'
_symmetry_Int_Tables_number 71
_symmetry_space_group_name_Hall '-I 2 2'
_cell_length_a 4.1015
_cell_length_b 7.4208
_cell_length_c 10.1385
_cell_angle_alpha 90.00
_cell_angle_beta 90.00
_cell_angle_gamma 90.00
loop_
_atom_site_label
_atom_site_fract_x
_atom_site_fract_y
_atom_site_fract_z
_atom_site_occupancy
La1 0.0000 0.0000 0.0000 1
Zn1 0.0000 0.1842 0.3659 1
Zn2 0.0000 0.5000 0.0000 1
Au1 0.0000 0.5000 0.2557 1
```